The following is a calculated PXRD pattern of Ca2Nd5Er. It was derived from DFT lattice parameters and positions (PBE), using a wavelength of 1.5418 Å.
Kinematic intensities with the Lorentz-polarization factor, no thermal factor.

Principal peaks in the range 2θ = 5–70°, in order of rising 2θ:
Position (°2θ), intensity
8.33, 35
29.54, 100
33.80, 16
34.46, 34
35.19, 10
49.04, 23
49.53, 12
57.85, 12
58.72, 28
61.30, 12

Cell and atoms:
Cell: 11.230 11.230 11.230 Å, 153.20 153.20 38.27°
Fractional coordinates of all 8 atoms:
Ca (0.250, 0.250, 0.000)
Ca (0.750, 0.750, 0.000)
Nd (0.000, 0.000, 0.000)
Nd (0.117, 0.617, 0.500)
Nd (0.383, 0.883, 0.500)
Nd (0.617, 0.117, 0.500)
Nd (0.883, 0.383, 0.500)
Er (0.500, 0.500, 0.000)